Simulated X-ray diffraction stick pattern
Compound: Pr5ThSe7
Radiation: Cu Kα (weighted mean of Kα1 and Kα2)
Structure: the PBE geometry in Alexandria
Kinematic intensities with the Lorentz-polarization factor, no thermal factor.

Crystal structure
```
data_Pr5ThSe7
_cell_length_a 7.369
_cell_length_b 7.369
_cell_length_c 24.868
_cell_angle_alpha 92.15
_cell_angle_beta 92.15
_cell_angle_gamma 32.82
_space_group_name_H-M_alt 'P 1'
_space_group_IT_number 1
_space_group_name_Hall 'P 1'
loop_
_atom_site_label
_atom_site_type_symbol
_atom_site_fract_x
_atom_site_fract_y
_atom_site_fract_z
_atom_site_occupancy
Pr1 Pr 0.000 0.000 0.000 1
Pr2 Pr 0.001 0.001 0.500 1
Pr3 Pr 0.272 0.272 0.930 1
Pr4 Pr 0.284 0.284 0.571 1
Pr5 Pr 0.445 0.445 0.353 1
Pr6 Pr 0.456 0.456 0.146 1
Pr7 Pr 0.544 0.544 0.854 1
Pr8 Pr 0.556 0.556 0.648 1
Pr9 Pr 0.717 0.717 0.429 1
Pr10 Pr 0.728 0.728 0.070 1
Th1 Th 0.209 0.209 0.237 1
Th2 Th 0.792 0.792 0.763 1
Se1 Se 0.083 0.083 0.387 1
Se2 Se 0.102 0.102 0.119 1
Se3 Se 0.179 0.179 0.819 1
Se4 Se 0.203 0.203 0.684 1
Se5 Se 0.362 0.362 0.461 1
Se6 Se 0.366 0.366 0.038 1
Se7 Se 0.438 0.438 0.748 1
Se8 Se 0.562 0.562 0.252 1
Se9 Se 0.634 0.634 0.962 1
Se10 Se 0.639 0.639 0.540 1
Se11 Se 0.798 0.798 0.316 1
Se12 Se 0.821 0.821 0.181 1
Se13 Se 0.899 0.899 0.881 1
Se14 Se 0.918 0.918 0.613 1
```

The 8 most intense peaks (5 to 70 degrees two-theta), by angle:
2theta	d [Å]	I/Imax
28.6	3.123	49
29.3	3.044	65
29.7	3.007	88
30.4	2.944	100
30.9	2.894	60
39.5	2.283	42
41.8	2.163	65
43.5	2.082	75